1.
Starting from DFT lattice parameters and positions (PBE), the powder diffractogram of Ti5GaCu was computed for Cu Kα X-rays.

Principal peaks in the range 5 to 70 degrees two-theta, by intensity:
two_theta, intensity
37.90, 100.0
45.32, 87.4
45.07, 68.4
37.59, 54.4
38.18, 52.4
44.07, 52.2

Crystal structure
Cell lengths 7.817, 7.817, 7.817 Å; angles 141.85, 66.75, 127.47 degrees
Element x y z (fractional)
Ti 0.121 0.000 0.621
Ti 0.121 0.500 0.121
Ti 0.211 0.143 0.068
Ti 0.356 0.606 0.750
Ti 0.426 0.857 0.568
Ti 0.574 0.143 0.432
Ti 0.644 0.394 0.250
Ti 0.789 0.857 0.932
Ti 0.879 0.000 0.379
Ti 0.879 0.500 0.879
Ga 0.255 0.005 0.250
Ga 0.745 0.995 0.750
Cu 0.000 0.500 0.500
Cu 0.500 0.500 0.000

2.
Starting from DFT lattice parameters and positions (PBE), the powder diffractogram of Li3NpO4 was computed for Cu Kα X-rays.

Principal peaks in the range 5 to 70 degrees two-theta, by intensity:
two_theta, intensity
21.80, 100.0
41.10, 40.9
24.14, 39.6
36.73, 35.0
44.44, 17.3
45.06, 15.9

Crystal structure
Cell lengths 5.213, 5.213, 6.542 Å; angles 90.00, 90.00, 90.00 degrees
Element x y z (fractional)
Li 0.000 0.000 0.000
Li 0.000 0.500 0.250
Li 0.000 0.500 0.750
Li 0.500 0.000 0.250
Li 0.500 0.000 0.750
Li 0.500 0.500 0.500
Np 0.000 0.000 0.500
Np 0.500 0.500 0.000
O 0.247 0.247 0.867
O 0.247 0.753 0.133
O 0.253 0.253 0.367
O 0.253 0.747 0.633
O 0.747 0.253 0.633
O 0.747 0.747 0.367
O 0.753 0.247 0.133
O 0.753 0.753 0.867

3.
Starting from DFT lattice parameters and positions (PBE), the powder diffractogram of Pa2VSe6 was computed for Cu Kα X-rays.

Principal peaks in the range 5 to 70 degrees two-theta, by intensity:
two_theta, intensity
20.97, 100.0
35.14, 86.6
34.54, 72.3
32.32, 71.0
38.68, 53.7
39.59, 53.3

Crystal structure
Cell lengths 6.344, 7.317, 11.045 Å; angles 90.00, 124.95, 90.00 degrees
Element x y z (fractional)
Pa 0.202 0.129 0.253
Pa 0.202 0.371 0.753
Pa 0.798 0.629 0.247
Pa 0.798 0.871 0.747
V 0.000 0.000 0.500
V 0.000 0.500 0.000
Se 0.091 0.183 0.940
Se 0.091 0.317 0.440
Se 0.282 0.676 0.940
Se 0.282 0.824 0.440
Se 0.407 0.035 0.760
Se 0.407 0.465 0.260
Se 0.593 0.535 0.740
Se 0.593 0.965 0.240
Se 0.718 0.176 0.560
Se 0.718 0.324 0.060
Se 0.909 0.683 0.560
Se 0.909 0.817 0.060

4.
Starting from DFT lattice parameters and positions (PBE), the powder diffractogram of Th3S4 was computed for Cu Kα X-rays.

Principal peaks in the range 5 to 70 degrees two-theta, by intensity:
two_theta, intensity
31.54, 100.0
27.23, 83.9
45.21, 73.9
53.58, 43.4
15.62, 40.7
22.16, 36.7

Crystal structure
Cell lengths 5.673, 5.673, 5.673 Å; angles 90.00, 90.00, 90.00 degrees
Element x y z (fractional)
Th 0.000 0.000 0.500
Th 0.000 0.500 0.000
Th 0.500 0.000 0.000
S 0.000 0.000 0.000
S 0.000 0.500 0.500
S 0.500 0.000 0.500
S 0.500 0.500 0.000

Q: Which formula does entry 2 have?
A: Li3NpO4

Q: What is the formula in the first record?
A: Ti5GaCu